Starting from the GGA-PBE geometry in Alexandria, the X-ray diffraction stick pattern of Na6ReP4 was calculated for Cu Kα (λ = 1.5418 Å).

Structural model:
```
Na6ReP4
1.0
9.1535 0.0000 0.0000
-4.5767 7.9271 0.0000
0.0000 0.0000 7.1336
Na Re P
12 2 8
Direct
0.0637 0.5319 0.0000 Na
0.1478 0.2957 0.3191 Na
0.1478 0.8522 0.3191 Na
0.2957 0.1478 0.8191 Na
0.4681 0.5319 0.0000 Na
0.4681 0.9363 0.0000 Na
0.5319 0.0637 0.5000 Na
0.5319 0.4681 0.5000 Na
0.7043 0.8522 0.3191 Na
0.8522 0.1478 0.8191 Na
0.8522 0.7043 0.8191 Na
0.9363 0.4681 0.5000 Na
0.3333 0.6667 0.6116 Re
0.6667 0.3333 0.1116 Re
0.1960 0.3921 0.7134 P
0.1960 0.8040 0.7134 P
0.3333 0.6667 0.2908 P
0.3921 0.1960 0.2134 P
0.6079 0.8040 0.7134 P
0.6667 0.3333 0.7908 P
0.8040 0.1960 0.2134 P
0.8040 0.6079 0.2134 P
```

Principal peaks in the range 10 to 90 degrees two-theta, by angle:
| hkl | Position (°2θ) | I (rel.) |
| --- | --- | --- |
| 1 0 0 | 11.16 | 63 |
| 1 0 1 | 16.72 | 100 |
| 1 1 0 | 19.39 | 33 |
| 1 1 2 | 31.81 | 25 |
| 2 1 1 | 32.41 | 52 |
| 2 2 0 | 39.37 | 32 |
| 1 0 3 | 39.57 | 19 |
| 2 1 3 | 48.90 | 18 |

=====

Starting from the GGA-PBE geometry in Alexandria, the X-ray diffraction stick pattern of Ni2Pt3 was calculated for Cu Kα (λ = 1.5418 Å).

Structural model:
```
Ni2Pt3
1.0
4.6778 0.0000 0.0000
0.7386 4.6408 0.0000
2.2662 2.0040 6.4488
Ni Pt
4 6
Direct
0.2474 0.2487 0.2520 Ni
0.2478 0.6478 0.4493 Ni
0.7522 0.3522 0.5507 Ni
0.7526 0.7513 0.7480 Ni
0.2457 0.0614 0.6349 Pt
0.2513 0.8464 0.0563 Pt
0.2564 0.4617 0.8379 Pt
0.7436 0.5383 0.1621 Pt
0.7487 0.1536 0.9437 Pt
0.7543 0.9386 0.3651 Pt
```

Principal peaks in the range 10 to 90 degrees two-theta, by angle:
| hkl | Position (°2θ) | I (rel.) |
| --- | --- | --- |
| 0 1 -1 | 27.55 | 11 |
| 2 0 0 | 40.76 | 36 |
| 1 2 1 | 40.89 | 100 |
| -1 2 1 | 47.16 | 23 |
| 1 1 -2 | 47.57 | 21 |
| 2 1 3 | 47.87 | 21 |
| 1 3 4 | 69.47 | 14 |
| -3 2 1 | 83.24 | 9 |